Record 1
Starting from a DFT-relaxed cell (GGA-PBE, the Materials Project), the powder diffraction line list of EuS3 was simulated for Cu Ka.
Intensities are scaled so that the largest is 100.

Most intense lines, 10° ≤ 2θ ≤ 80°, in order of rising 2θ:
Position (°2θ)	I_rel	h k l
17.51	34	0 0 2
24.37	64	1 0 1
35.08	26	1 0 3
35.44	28	0 0 4
36.99	100	1 1 2
46.37	25	2 0 0
53.06	17	2 1 1
59.68	23	2 0 4
64.65	18	1 1 6
79.70	21	3 1 2

Crystal structure
Lattice parameters (Å, degrees): 3.916 3.916 10.132 90.00 90.00 90.00
Space group I4/mmm (No. 139)
Unique sites:
Eu  0.000  0.000  0.000 (multiplicity 2)
S  0.000  0.000  0.500 (multiplicity 2)
S  0.000  0.500  0.250 (multiplicity 4)

Record 2
Starting from a DFT-relaxed cell (GGA-PBE, the Materials Project), the powder diffraction line list of Tb2Co12P7 was simulated for Cu Ka.
Intensities are scaled so that the largest is 100.

Most intense lines, 10° ≤ 2θ ≤ 80°, in order of rising 2θ:
Position (°2θ)	I_rel	h k l
27.35	11	1 0 1
30.30	10	1 2 0
34.48	9	3 0 0
39.55	100	1 2 1
40.02	11	2 2 0
50.89	16	0 0 2
53.83	17	4 1 0
57.53	9	2 3 1
68.83	9	2 4 1
77.24	11	4 1 2

Crystal structure
Lattice parameters (Å, degrees): 9.0112 9.0112 3.5886 90.00 90.00 120.00
Space group P-6 (No. 174)
Unique sites:
Tb  0.0000  0.0000  0.0000 (multiplicity 1)
Tb  0.3333  0.6667  0.5000 (multiplicity 1)
Co  0.0493  0.7684  0.5000 (multiplicity 3)
Co  0.1009  0.3928  0.0000 (multiplicity 3)
Co  0.3947  0.2142  0.0000 (multiplicity 3)
Co  0.5352  0.0982  0.5000 (multiplicity 3)
P  0.0720  0.6269  0.0000 (multiplicity 3)
P  0.2653  0.0423  0.5000 (multiplicity 3)
P  0.6667  0.3333  0.0000 (multiplicity 1)

Record 3
Starting from a DFT-relaxed cell (GGA-PBE, the Materials Project), the powder diffraction line list of TcN was simulated for Cu Ka.
Intensities are scaled so that the largest is 100.

Most intense lines, 10° ≤ 2θ ≤ 80°, in order of rising 2θ:
Position (°2θ)	I_rel	h k l
30.79	40	0 0 1
36.80	89	1 0 0
48.72	100	1 0 1
64.13	8	0 0 2
66.29	21	1 1 0
74.86	19	1 1 1
76.29	21	1 0 2
78.30	10	2 0 0

Crystal structure
Lattice parameters (Å, degrees): 2.8199 2.8199 2.9042 90.00 90.00 120.00
Space group P-6m2 (No. 187)
Unique sites:
Tc  0.0000  0.0000  0.0000 (multiplicity 1)
N  0.6667  0.3333  0.5000 (multiplicity 1)

Record 4
Starting from a DFT-relaxed cell (GGA-PBE, the Materials Project), the powder diffraction line list of Pr2Co7 was simulated for Cu Ka.
Intensities are scaled so that the largest is 100.

Most intense lines, 10° ≤ 2θ ≤ 80°, in order of rising 2θ:
Position (°2θ)	I_rel	h k l
32.75	58	0 2 7
35.43	46	2 0 0
41.32	31	2 2 1
41.98	100	2 0 6
44.41	15	0 0 12
45.29	12	0 4 5
61.92	19	1 5 7
65.30	18	2 2 13
68.10	22	3 3 6
75.02	14	2 6 0

Crystal structure
Lattice parameters (Å, degrees): 5.071 8.768 24.479 90.00 90.00 90.00
Space group Cmcm (No. 63)
Unique sites:
Pr  0.000  0.167  0.027 (multiplicity 8)
Pr  0.000  0.167  0.173 (multiplicity 8)
Co  0.000  0.167  0.669 (multiplicity 8)
Co  0.000  0.334  0.588 (multiplicity 8)
Co  0.000  0.334  0.750 (multiplicity 4)
Co  0.000  0.500  0.000 (multiplicity 4)
Co  0.000  0.500  0.168 (multiplicity 8)
Co  0.248  0.417  0.089 (multiplicity 16)
Co  0.249  0.417  0.250 (multiplicity 8)